This entry pairs a crystal structure of MgTcSnH with its computed X-ray diffraction stick pattern. Radiation: Cu Kα. Structure: a crystal structure in Alexandria, relaxed with PBE.

Top 12 peaks for 2θ = 10–90°, by angle:
Position (°2θ)	Rel. int.	index
18.02	88	0 0 1
27.17	18	0 1 1
36.64	100	1 1 1
37.43	37	1 0 -1
37.66	74	0 1 2
38.19	37	1 0 2
40.88	25	1 1 0
41.35	20	1 1 2
53.05	29	2 0 1
53.45	20	0 1 3
56.04	20	0 0 3
66.29	20	-1 2 2

Structural model:
a = 3.455 Å, b = 3.484 Å, c = 5.471 Å
α = 71.44°, β = 72.62°, γ = 89.95°
Positions (direct):
Mg (0.000, 0.000, 0.000)
Tc (0.332, 0.328, 0.346)
Sn (0.724, 0.709, 0.583)
H (0.369, 0.494, 0.005)

***

This entry pairs a crystal structure of TiI2BrN with its computed X-ray diffraction stick pattern. Radiation: Cu Kα. Structure: a crystal structure in Alexandria, relaxed with PBE.

Top 12 peaks for 2θ = 10–90°, by angle:
Position (°2θ)	Rel. int.	index
21.56	17	1 1 0
23.69	25	0 0 1
28.27	21	1 0 1
30.68	100	2 0 0
32.25	100	1 1 1
39.12	27	2 0 1
42.20	14	2 1 1
43.94	36	2 2 0
55.54	41	3 1 1
58.46	30	2 0 2
67.48	19	2 2 2
72.54	16	4 2 0

Structural model:
a = 5.828 Å, b = 5.828 Å, c = 3.756 Å
α = 90.00°, β = 90.00°, γ = 90.00°
Positions (direct):
Ti (0.000, 0.000, 0.000)
I (0.000, 0.500, 0.000)
I (0.500, 0.000, 0.000)
Br (0.500, 0.500, 0.500)
N (0.000, 0.000, 0.500)